1.
This entry pairs a crystal structure of Li2CdPd5 with its calculated powder diffractogram. Radiation: Cu Kα. Structure: a structure optimized by DFT (GGA-PBE).
Intensities are scaled so that the largest is 100.

Structure:
```
data_Li2CdPd5
_chemical_formula_sum 'Li4 Cd2 Pd10'
_cell_length_a 5.611
_cell_length_b 5.611
_cell_length_c 7.766
_cell_angle_alpha 90.00
_cell_angle_beta 90.00
_cell_angle_gamma 90.00
_space_group_name_H-M_alt 'I 4/m m m'
_space_group_IT_number 139
_space_group_name_Hall '-I 4 2'
loop_
_atom_site_label
_atom_site_type_symbol
_atom_site_fract_x
_atom_site_fract_y
_atom_site_fract_z
Li1 Li 0.000 0.500 0.000
Cd1 Cd 0.000 0.000 0.000
Pd1 Pd 0.000 0.000 0.500
Pd2 Pd 0.250 0.250 0.250
```

Largest 12 diffraction maxima, by angle, 2θ = 10–90°:
| two_theta | intensity | index |
| --- | --- | --- |
| 22.4 | 23 | 1 1 0 |
| 22.9 | 10 | 0 0 2 |
| 31.9 | 8 | 2 0 0 |
| 32.3 | 18 | 1 1 2 |
| 39.6 | 100 | 2 0 2 |
| 45.7 | 33 | 2 2 0 |
| 46.8 | 15 | 0 0 4 |
| 66.7 | 10 | 4 0 0 |
| 67.5 | 20 | 2 2 4 |
| 80.4 | 24 | 4 2 2 |
| 82.0 | 12 | 2 0 6 |
| 85.4 | 11 | 4 0 4 |

=====

2.
This entry pairs a crystal structure of Pm3Au5 with its calculated powder diffractogram. Radiation: Cu Kα. Structure: a structure optimized by DFT (GGA-PBE).
Intensities are scaled so that the largest is 100.

Structure:
```
data_Pm3Au5
_chemical_formula_sum 'Pm3 Au5'
_cell_length_a 7.5227
_cell_length_b 7.5227
_cell_length_c 3.9145
_cell_angle_alpha 90.00
_cell_angle_beta 90.00
_cell_angle_gamma 120.00
_space_group_name_H-M_alt 'P -6 2 m'
_space_group_IT_number 189
_space_group_name_Hall 'P -6 -2'
loop_
_atom_site_label
_atom_site_type_symbol
_atom_site_fract_x
_atom_site_fract_y
_atom_site_fract_z
Pm1 Pm 0.0000 0.3752 0.0000
Au1 Au 0.0000 0.7656 0.5000
Au2 Au 0.3333 0.6667 0.5000
```

Largest 12 diffraction maxima, by angle, 2θ = 10–90°:
| two_theta | intensity | index |
| --- | --- | --- |
| 22.7 | 18 | 0 0 1 |
| 33.0 | 100 | 1 1 1 |
| 35.9 | 33 | 2 0 1 |
| 36.5 | 56 | 2 1 0 |
| 41.6 | 26 | 3 0 0 |
| 43.4 | 36 | 2 1 1 |
| 46.4 | 19 | 0 0 2 |
| 60.4 | 26 | 2 1 2 |
| 64.0 | 15 | 3 0 2 |
| 67.0 | 15 | 3 2 1 |
| 70.5 | 24 | 4 1 1 |
| 77.4 | 9 | 1 1 3 |

=====

3.
This entry pairs a crystal structure of Np3Fe2Si7 with its calculated powder diffractogram. Radiation: Cu Kα. Structure: a structure optimized by DFT (GGA-PBE).
Intensities are scaled so that the largest is 100.

Structure:
```
data_Np3Fe2Si7
_chemical_formula_sum 'Np3 Fe2 Si7'
_cell_length_a 3.987
_cell_length_b 4.031
_cell_length_c 12.304
_cell_angle_alpha 90.00
_cell_angle_beta 99.11
_cell_angle_gamma 90.00
_space_group_name_H-M_alt 'P 1 2/m 1'
_space_group_IT_number 10
loop_
_space_group_symop_operation_xyz
'x,y,z'
'-x,-y,-z'
'-x,y,-z'
'x,-y,z'
loop_
_atom_site_label
_atom_site_type_symbol
_atom_site_fract_x
_atom_site_fract_y
_atom_site_fract_z
Np1 Np 0.000 0.000 0.000
Np2 Np 0.313 0.500 0.632
Fe1 Fe 0.122 0.000 0.254
Si1 Si 0.088 0.500 0.172
Si2 Si 0.222 0.000 0.443
Si3 Si 0.417 0.000 0.829
Si4 Si 0.500 0.500 0.000
```

Largest 12 diffraction maxima, by angle, 2θ = 10–90°:
| two_theta | intensity | index |
| --- | --- | --- |
| 21.9 | 40 | 0 0 3 |
| 23.3 | 60 | 0 1 1 |
| 24.9 | 67 | 1 0 -2 |
| 31.8 | 53 | 1 1 -1 |
| 33.5 | 20 | 1 1 -2 |
| 36.7 | 100 | 1 1 2 |
| 37.0 | 70 | 0 1 4 |
| 45.0 | 27 | 0 2 0 |
| 45.5 | 26 | 2 0 -1 |
| 52.1 | 20 | 1 2 -2 |
| 60.0 | 18 | 2 1 3 |
| 65.9 | 18 | 2 2 -1 |

=====

4.
This entry pairs a crystal structure of Ca5TmPt6 with its calculated powder diffractogram. Radiation: Cu Kα. Structure: a structure optimized by DFT (GGA-PBE).
Intensities are scaled so that the largest is 100.

Structure:
```
data_Ca5TmPt6
_chemical_formula_sum 'Ca10 Tm2 Pt12'
_cell_length_a 4.901
_cell_length_b 14.734
_cell_length_c 7.049
_cell_angle_alpha 90.00
_cell_angle_beta 90.00
_cell_angle_gamma 90.00
_space_group_name_H-M_alt 'C m m m'
_space_group_IT_number 65
_space_group_name_Hall '-C 2 2'
loop_
_atom_site_label
_atom_site_type_symbol
_atom_site_fract_x
_atom_site_fract_y
_atom_site_fract_z
Ca1 Ca 0.000 0.000 0.000
Ca2 Ca 0.000 0.329 0.500
Ca3 Ca 0.000 0.334 0.000
Tm1 Tm 0.000 0.000 0.500
Pt1 Pt 0.000 0.159 0.255
Pt2 Pt 0.000 0.500 0.269
```

Largest 12 diffraction maxima, by angle, 2θ = 10–90°:
| two_theta | intensity | index |
| --- | --- | --- |
| 25.3 | 16 | 0 0 2 |
| 25.7 | 31 | 1 3 0 |
| 36.3 | 100 | 1 3 2 |
| 36.6 | 49 | 2 0 0 |
| 45.0 | 14 | 2 0 2 |
| 51.9 | 9 | 0 0 4 |
| 52.8 | 17 | 2 6 0 |
| 65.2 | 17 | 2 0 4 |
| 65.7 | 16 | 1 9 2 |
| 65.8 | 18 | 3 3 2 |
| 77.2 | 10 | 2 6 4 |
| 89.1 | 7 | 3 9 2 |

=====

5.
This entry pairs a crystal structure of Ta4NiTe4 with its calculated powder diffractogram. Radiation: Cu Kα. Structure: a structure optimized by DFT (GGA-PBE).
Intensities are scaled so that the largest is 100.

Structure:
```
data_Ta4NiTe4
_chemical_formula_sum 'Ta16 Ni4 Te16'
_cell_length_a 11.079
_cell_length_b 19.182
_cell_length_c 4.781
_cell_angle_alpha 90.00
_cell_angle_beta 90.00
_cell_angle_gamma 90.00
_space_group_name_H-M_alt 'P b a m'
_space_group_IT_number 55
loop_
_space_group_symop_operation_xyz
'x,y,z'
'-x,-y,-z'
'-x,-y,z'
'x,y,-z'
'x+1/2,-y+1/2,-z'
'-x+1/2,y+1/2,z'
'-x+1/2,y+1/2,-z'
'x+1/2,-y+1/2,z'
loop_
_atom_site_label
_atom_site_type_symbol
_atom_site_fract_x
_atom_site_fract_y
_atom_site_fract_z
Ta1 Ta 0.063 0.116 0.000
Ta2 Ta 0.098 0.893 0.500
Ta3 Ta 0.187 0.057 0.500
Ta4 Ta 0.201 0.964 0.000
Ni1 Ni 0.000 0.000 0.250
Te1 Te 0.107 0.199 0.500
Te2 Te 0.155 0.438 0.500
Te3 Te 0.167 0.816 0.000
Te4 Te 0.180 0.597 0.000
```

Largest 12 diffraction maxima, by angle, 2θ = 10–90°:
| two_theta | intensity | index |
| --- | --- | --- |
| 16.0 | 44 | 2 0 0 |
| 18.5 | 34 | 0 4 0 |
| 32.0 | 44 | 3 2 1 |
| 34.1 | 44 | 2 5 1 |
| 34.7 | 96 | 1 6 1 |
| 36.0 | 37 | 3 4 1 |
| 37.6 | 77 | 0 0 2 |
| 37.8 | 45 | 4 1 1 |
| 38.8 | 47 | 3 5 1 |
| 40.2 | 100 | 4 3 1 |
| 41.3 | 67 | 2 7 1 |
| 42.2 | 33 | 0 4 2 |

=====

6.
This entry pairs a crystal structure of SmTm12Th5 with its calculated powder diffractogram. Radiation: Cu Kα. Structure: a structure optimized by DFT (GGA-PBE).
Intensities are scaled so that the largest is 100.

Structure:
```
data_SmTm12Th5
_chemical_formula_sum 'Sm2 Tm24 Th10'
_cell_length_a 14.852
_cell_length_b 15.034
_cell_length_c 5.012
_cell_angle_alpha 90.00
_cell_angle_beta 90.00
_cell_angle_gamma 90.00
_space_group_name_H-M_alt 'C m m m'
_space_group_IT_number 65
_space_group_name_Hall '-C 2 2'
loop_
_atom_site_label
_atom_site_type_symbol
_atom_site_fract_x
_atom_site_fract_y
_atom_site_fract_z
Sm1 Sm 0.000 0.000 0.000
Tm1 Tm 0.164 0.167 0.000
Tm2 Tm 0.164 0.333 0.500
Tm3 Tm 0.164 0.500 0.000
Tm4 Tm 0.166 0.000 0.500
Th1 Th 0.000 0.168 0.500
Th2 Th 0.000 0.333 0.000
Th3 Th 0.000 0.500 0.500
```

Largest 12 diffraction maxima, by angle, 2θ = 10–90°:
| two_theta | intensity | index |
| --- | --- | --- |
| 31.0 | 100 | 3 3 1 |
| 35.8 | 34 | 0 6 0 |
| 36.3 | 16 | 6 0 0 |
| 51.6 | 12 | 0 6 2 |
| 51.9 | 24 | 6 6 0 |
| 61.4 | 29 | 3 9 1 |
| 62.0 | 14 | 9 3 1 |
| 64.7 | 12 | 6 6 2 |
| 84.3 | 6 | 3 9 3 |
| 84.8 | 12 | 9 9 1 |
| 86.9 | 6 | 0 12 2 |
| 87.2 | 6 | 6 12 0 |

=====

7.
This entry pairs a crystal structure of Tl2PbBr2F2 with its calculated powder diffractogram. Radiation: Cu Kα. Structure: a structure optimized by DFT (GGA-PBE).
Intensities are scaled so that the largest is 100.

Structure:
```
data_Tl2PbBr2F2
_chemical_formula_sum 'Tl4 Pb2 Br4 F4'
_cell_length_a 4.839
_cell_length_b 4.839
_cell_length_c 17.613
_cell_angle_alpha 90.00
_cell_angle_beta 90.00
_cell_angle_gamma 90.00
_space_group_name_H-M_alt 'I 4/m m m'
_space_group_IT_number 139
_space_group_name_Hall '-I 4 2'
loop_
_atom_site_label
_atom_site_type_symbol
_atom_site_fract_x
_atom_site_fract_y
_atom_site_fract_z
Tl1 Tl 0.000 0.000 0.138
Pb1 Pb 0.000 0.000 0.500
Br1 Br 0.000 0.000 0.324
F1 F 0.000 0.500 0.000
```

Largest 12 diffraction maxima, by angle, 2θ = 10–90°:
| two_theta | intensity | index |
| --- | --- | --- |
| 23.8 | 67 | 1 0 3 |
| 26.0 | 100 | 1 1 0 |
| 30.5 | 22 | 0 0 6 |
| 31.4 | 53 | 1 0 5 |
| 37.2 | 49 | 2 0 0 |
| 40.5 | 34 | 1 1 6 |
| 44.6 | 27 | 2 1 3 |
| 48.8 | 23 | 2 0 6 |
| 49.4 | 30 | 2 1 5 |
| 60.5 | 20 | 3 1 0 |
| 60.9 | 21 | 1 0 11 |
| 73.6 | 24 | 2 1 11 |

=====

8.
This entry pairs a crystal structure of TlBrN2O with its calculated powder diffractogram. Radiation: Cu Kα. Structure: a structure optimized by DFT (GGA-PBE).
Intensities are scaled so that the largest is 100.

Structure:
```
data_TlBrN2O
_chemical_formula_sum 'Tl1 Br1 N2 O1'
_cell_length_a 4.170
_cell_length_b 4.170
_cell_length_c 3.957
_cell_angle_alpha 90.00
_cell_angle_beta 90.00
_cell_angle_gamma 90.00
_space_group_name_H-M_alt 'P 4/m m m'
_space_group_IT_number 123
_space_group_name_Hall '-P 4 2'
loop_
_atom_site_label
_atom_site_type_symbol
_atom_site_fract_x
_atom_site_fract_y
_atom_site_fract_z
Tl1 Tl 0.000 0.000 0.000
Br1 Br 0.500 0.500 0.500
N1 N 0.000 0.500 0.500
O1 O 0.500 0.500 0.000
```

Largest 12 diffraction maxima, by angle, 2θ = 10–90°:
| two_theta | intensity | index |
| --- | --- | --- |
| 21.3 | 17 | 1 0 0 |
| 30.3 | 56 | 1 1 0 |
| 31.2 | 100 | 1 0 1 |
| 38.1 | 22 | 1 1 1 |
| 43.4 | 30 | 2 0 0 |
| 45.9 | 13 | 0 0 2 |
| 54.4 | 43 | 2 1 1 |
| 56.0 | 21 | 1 1 2 |
| 65.0 | 17 | 2 0 2 |
| 71.6 | 10 | 3 1 0 |
| 88.0 | 12 | 3 2 1 |
| 89.3 | 12 | 3 1 2 |